K23Rb6Tl: simulated powder diffraction line list (Cu Kα), based on DFT lattice parameters and positions (GGA-PBE).

Structure:
Cell lengths 20.8141, 20.8141, 20.8141 Å; angles 90.00, 90.00, 90.00 degrees
Space group Fm-3m (No. 225)
Symmetry-distinct sites (fractional):
K: 0.0000 0.0000 0.0000 [4 per cell]
K: 0.0000 0.2500 0.2500 [24 per cell]
K: 0.1184 0.1184 0.1184 [32 per cell]
K: 0.1665 0.1665 0.3335 [32 per cell]
Rb: 0.0000 0.0000 0.3122 [24 per cell]
Tl: 0.0000 0.0000 0.5000 [4 per cell]

Main lines, by intensity (10 to 90 degrees two-theta):
22.19°, I 100, (5 1 1); 24.19°, I 90, (4 4 0); 37.42°, I 32, (5 5 5); 36.63°, I 26, (6 6 0); 25.68°, I 25, (6 0 0); 28.44°, I 20, (6 2 2); 19.07°, I 19, (4 2 0); 43.25°, I 17, (9 3 3); 30.68°, I 17, (5 5 1); 51.98°, I 16, (10 6 2)